For Ta2CrNO5, a DFT-relaxed cell (GGA+U, Alexandria) gives the theoretical powder XRD pattern in this record (Cu Kα (weighted mean of Kα1 and Kα2)).
Neutral-atom scattering factors, no anomalous dispersion.

Cell and atoms:
abc: 6.7493 6.7296 9.2369
angles: 90.00 90.33 90.00
Space group Cm (No. 8)
Asymmetric unit:
Ta: 0.0000 0.0000 0.0000 (multiplicity 2)
Ta: 0.0028 0.0000 0.3293 (multiplicity 2)
Ta: 0.0071 0.5000 0.8231 (multiplicity 2)
Ta: 0.4901 0.0000 0.4863 (multiplicity 2)
Cr: 0.0142 0.0000 0.6563 (multiplicity 2)
Cr: 0.0136 0.5000 0.1554 (multiplicity 2)
N: 0.2089 0.0000 0.4891 (multiplicity 2)
N: 0.3143 0.5000 0.1533 (multiplicity 2)
O: 0.0137 0.3041 0.3246 (multiplicity 4)
O: 0.0139 0.3039 0.9839 (multiplicity 4)
O: 0.0169 0.3071 0.6571 (multiplicity 4)
O: 0.2070 0.0000 0.1549 (multiplicity 2)
O: 0.2157 0.0000 0.8215 (multiplicity 2)
O: 0.3163 0.5000 0.4879 (multiplicity 2)
O: 0.3168 0.5000 0.8260 (multiplicity 2)

Peak list (6 most intense, 2θ from 10° to 90°, low angle first)
2θ/deg, intensity
21.0, 30
26.5, 100
34.6, 40
34.8, 39
37.8, 25
52.2, 32